Structure and computed powder X-ray diffraction pattern of Fe4RuN4 (a structure optimized by DFT (PBE); λ = 1.5418 Å (Cu Kα)).

Structure:
```
Fe4RuN4
1.0
4.6630 0.0000 0.0000
1.3070 4.5930 0.0000
1.9817 0.2872 8.0935
Fe Ru N
8 2 8
Cartesian
1.3239 1.2550 3.7405 Fe
3.4974 1.5723 7.7983 Fe
3.5465 1.5548 5.0137 Fe
4.5035 3.8716 6.2515 Fe
3.4481 1.0086 1.8420 Fe
4.4051 3.3254 3.0798 Fe
4.4542 3.3079 0.2953 Fe
6.6277 3.6251 4.3531 Fe
2.0636 3.3312 1.6058 Ru
5.8880 1.5489 6.4878 Ru
3.2717 4.7506 5.1662 N
3.5598 3.4192 7.8003 N
2.8518 2.2265 3.2474 N
2.1000 0.0894 1.0930 N
5.8517 4.7908 7.0006 N
5.0998 2.6537 4.8461 N
4.3918 1.4609 0.2932 N
4.6799 0.1296 2.9273 N
```

Main lines, in order of rising 2θ (2θ = 10–90°):
21.9°, intensity 274; 28.7°, intensity 276; 36.3°, intensity 697; 36.9°, intensity 1000; 39.3°, intensity 862; 40.3°, intensity 884; 41.1°, intensity 898; 43.5°, intensity 752; 45.0°, intensity 345; 48.4°, intensity 596